Calculated powder diffractogram
Compound: NaPu3O8
Radiation: CuKα
Structure: DFT lattice parameters and positions (PBE)

Main lines, by angle (10° ≤ 2θ ≤ 80°):
2θ = 15.32°, rel. 100.0, hkl 0 0 3
2θ = 15.72°, rel. 41.9, hkl 1 0 1
2θ = 18.06°, rel. 17.4, hkl 0 1 2
2θ = 30.43°, rel. 46.5, hkl 0 2 1
2θ = 31.75°, rel. 35.6, hkl 2 0 2
2θ = 36.58°, rel. 45.5, hkl 0 2 4
2θ = 39.87°, rel. 19.1, hkl 2 0 5
2θ = 47.72°, rel. 19.2, hkl 0 2 7
2θ = 53.24°, rel. 15.3, hkl 2 2 0
2θ = 55.74°, rel. 21.0, hkl 2 2 3

```
data_NaPu3O8
_chemical_formula_sum 'Na3 Pu9 O24'
_symmetry_space_group_name_H-M 'R -3 m'
_symmetry_Int_Tables_number 166
_symmetry_space_group_name_Hall '-R 3 2"'
_cell_length_a 6.8824
_cell_length_b 6.8824
_cell_length_c 17.3538
_cell_angle_alpha 90.00
_cell_angle_beta 90.00
_cell_angle_gamma 120.00
loop_
_atom_site_label
_atom_site_type_symbol
_atom_site_fract_x
_atom_site_fract_y
_atom_site_fract_z
Na1 Na 0.0000 0.0000 0.0000
Pu1 Pu 0.0000 0.5000 0.5000
O1 O 0.0000 0.0000 0.2266
O2 O 0.0556 0.5278 0.7741
```